Record 1
Diffraction record for PrHICl. The powder X-ray diffraction pattern is theoretical, not measured: it uses a PBE-relaxed structure and λ = 1.5418 Å (Cu Kα).
Lines closer than 0.1° are merged.

Largest 6 diffraction maxima, in order of rising 2θ, 2θ = 15–90°:
(1 0 1), 25.98 deg, d = 3.430 Å, I = 51.4; (1 0 2), 28.05 deg, d = 3.182 Å, I = 100.0; (0 1 3), 31.21 deg, d = 2.866 Å, I = 54.3; (0 1 4), 35.20 deg, d = 2.549 Å, I = 85.5; (1 1 0), 44.50 deg, d = 2.036 Å, I = 48.6; (0 1 11), 75.89 deg, d = 1.254 Å, I = 27.2

Crystal structure
Lattice parameters (Å, degrees): 4.0717 4.0717 14.7591 90.00 90.00 120.00
Fractional positions:
Pr: 0.0000 0.0000 0.2304
Pr: 0.0000 0.0000 0.7696
H: 0.3333 0.6667 0.2360
H: 0.6667 0.3333 0.7640
I: 0.3333 0.6667 0.6193
I: 0.6667 0.3333 0.3807
Cl: 0.3333 0.6667 0.8859
Cl: 0.6667 0.3333 0.1141

Record 2
Diffraction record for Tm2H2I3Cl. The powder X-ray diffraction pattern is theoretical, not measured: it uses a PBE-relaxed structure and λ = 1.5418 Å (Cu Kα).
Lines closer than 0.1° are merged.

Largest 6 diffraction maxima, in order of rising 2θ, 2θ = 15–90°:
(0 1 1), 27.10 deg, d = 3.291 Å, I = 44.1; (0 1 2), 28.81 deg, d = 3.099 Å, I = 72.0; (1 0 3), 31.48 deg, d = 2.842 Å, I = 36.3; (1 0 4), 34.90 deg, d = 2.571 Å, I = 100.0; (1 1 0), 46.78 deg, d = 1.942 Å, I = 41.9; (1 1 2), 48.24 deg, d = 1.887 Å, I = 26.0

Crystal structure
Lattice parameters (Å, degrees): 3.8835 3.8835 15.9500 90.00 90.00 120.00
Fractional positions:
Tm: 0.0000 0.0000 0.0000
Tm: 0.0000 0.0000 0.4911
H: 0.3333 0.6667 0.9998
H: 0.6667 0.3333 0.4953
I: 0.3333 0.6667 0.6240
I: 0.6667 0.3333 0.1323
I: 0.6667 0.3333 0.8679
Cl: 0.3333 0.6667 0.3874

Record 3
Diffraction record for TmHICl. The powder X-ray diffraction pattern is theoretical, not measured: it uses a PBE-relaxed structure and λ = 1.5418 Å (Cu Kα).
Lines closer than 0.1° are merged.

Largest 6 diffraction maxima, in order of rising 2θ, 2θ = 15–90°:
(1 0 1), 27.64 deg, d = 3.228 Å, I = 43.1; (1 0 2), 29.53 deg, d = 3.025 Å, I = 97.5; (1 0 3), 32.46 deg, d = 2.758 Å, I = 31.1; (1 0 4), 36.21 deg, d = 2.481 Å, I = 100.0; (1 1 0), 47.66 deg, d = 1.908 Å, I = 41.7; (1 1 6), 61.07 deg, d = 1.517 Å, I = 21.6

Crystal structure
Lattice parameters (Å, degrees): 3.8163 3.8163 15.0173 90.00 90.00 120.00
Fractional positions:
Tm: 0.0000 0.0000 0.0000
Tm: 0.0000 0.0000 0.5000
H: 0.3333 0.6667 0.0044
H: 0.6667 0.3333 0.5044
I: 0.3333 0.6667 0.6426
I: 0.6667 0.3333 0.1426
Cl: 0.3333 0.6667 0.3881
Cl: 0.6667 0.3333 0.8881